Record 1
The following is a theoretical XRD peak list of OsIN. It was derived from a structure optimized by DFT (PBE), using Cu Kα (weighted mean of Kα1 and Kα2).
Kinematic intensities with the Lorentz-polarization factor, no thermal factor.

Structural model:
Cell: 3.4657 3.4657 30.5003 Å, 90.00 90.00 120.00°
Space group R-3m (No. 166, hexagonal axes)
Asymmetric unit:
Os 0.0000 0.0000 0.1238 [6 per cell]
I 0.0000 0.0000 0.3865 [6 per cell]
N 0.0000 0.0000 0.1910 [6 per cell]

Main lines, in order of falling intensity (15 to 90 degrees two-theta):
2θ/deg	I_rel	h k l
32.0	100	1 0 4
38.2	52	0 1 8
52.8	27	1 1 0
65.2	20	1 1 12
35.3	20	0 0 12
63.1	14	0 2 4
57.3	13	1 0 16
86.8	12	2 1 4
67.0	10	2 0 8
44.5	9	0 0 15

=====

Record 2
The following is a theoretical XRD peak list of DyHo2Cd4In2. It was derived from a structure optimized by DFT (PBE), using Cu Kα (weighted mean of Kα1 and Kα2).
Kinematic intensities with the Lorentz-polarization factor, no thermal factor.

Structural model:
Cell: 4.589 12.960 7.472 Å, 90.00 90.00 90.00°
Space group Amm2 (No. 38)
Asymmetric unit:
Dy 0.000 0.000 0.000 [2 per cell]
Ho 0.000 0.213 0.641 [4 per cell]
Cd 0.000 0.000 0.428 [2 per cell]
Cd 0.500 0.000 0.670 [2 per cell]
Cd 0.500 0.122 0.306 [4 per cell]
In 0.500 0.167 0.927 [4 per cell]

Main lines, in order of falling intensity (15 to 90 degrees two-theta):
2θ/deg	I_rel	h k l
33.9	100	1 2 2
30.8	73	1 0 2
54.9	43	2 5 1
36.7	40	0 5 1
39.3	31	2 0 0
41.8	23	0 6 0
66.0	22	1 8 2
66.1	20	1 7 3
67.8	13	3 2 2
58.7	11	2 3 3

=====

Record 3
The following is a theoretical XRD peak list of NdNiS3. It was derived from a structure optimized by DFT (PBE), using Cu Kα (weighted mean of Kα1 and Kα2).
Kinematic intensities with the Lorentz-polarization factor, no thermal factor.

Structural model:
Cell: 6.223 8.416 7.650 Å, 90.00 105.02 90.00°
Space group P2_1/c (No. 14)
Asymmetric unit:
Nd 0.171 0.107 0.292 [4 per cell]
Ni 0.427 0.672 0.536 [4 per cell]
S 0.113 0.687 0.980 [4 per cell]
S 0.237 0.051 0.935 [4 per cell]
S 0.477 0.160 0.656 [4 per cell]

Main lines, in order of falling intensity (15 to 90 degrees two-theta):
2θ/deg	I_rel	h k l
23.8	100	1 1 1
26.9	73	1 2 -1
24.8	67	1 0 -2
35.3	56	1 3 0
24.3	46	0 2 1
36.2	45	2 2 -1
33.3	43	1 1 2
42.5	39	0 2 3
27.0	36	1 1 -2
38.7	35	1 3 1

=====

Record 4
The following is a theoretical XRD peak list of CoCuGeW. It was derived from a structure optimized by DFT (PBE), using Cu Kα (weighted mean of Kα1 and Kα2).
Kinematic intensities with the Lorentz-polarization factor, no thermal factor.

Structural model:
Cell: 5.970 5.970 5.970 Å, 90.00 90.00 90.00°
Space group F-43m (No. 216)
Asymmetric unit:
Co 0.000 0.000 0.000 [4 per cell]
Cu 0.250 0.250 0.250 [4 per cell]
Ge 0.250 0.250 0.750 [4 per cell]
W 0.000 0.000 0.500 [4 per cell]

Main lines, in order of falling intensity (15 to 90 degrees two-theta):
2θ/deg	I_rel	h k l
42.8	100	2 2 0
78.5	32	4 2 2
25.8	24	1 1 1
62.2	16	4 0 0
50.7	12	3 1 1
29.9	8	2 0 0
68.5	5	3 3 1
84.3	4	5 1 1
70.5	3	4 2 0
53.1	2	2 2 2

=====

Record 5
The following is a theoretical XRD peak list of Pr2SiO5. It was derived from a structure optimized by DFT (PBE), using Cu Kα (weighted mean of Kα1 and Kα2).
Kinematic intensities with the Lorentz-polarization factor, no thermal factor.

Structural model:
Cell: 14.713 6.865 10.778 Å, 90.00 121.59 90.00°
Space group C2/c (No. 15)
Asymmetric unit:
Pr 0.037 0.249 0.459 [8 per cell]
Pr 0.143 0.362 0.828 [8 per cell]
Si 0.179 0.088 0.319 [8 per cell]
O 0.019 0.406 0.899 [8 per cell]
O 0.093 0.028 0.667 [8 per cell]
O 0.116 0.291 0.307 [8 per cell]
O 0.189 0.043 0.954 [8 per cell]
O 0.205 0.377 0.661 [8 per cell]

Main lines, in order of falling intensity (15 to 90 degrees two-theta):
2θ/deg	I_rel	h k l
22.3	100	3 1 -1
29.5	86	2 0 2
28.7	69	3 1 -3
27.7	55	0 2 1
24.6	51	4 0 -2
34.3	50	5 1 -1
40.4	48	6 0 -4
29.2	46	1 1 -3
29.7	32	2 2 0
39.7	26	2 2 2

=====

Record 6
The following is a theoretical XRD peak list of Hf2ZrNi4As4. It was derived from a structure optimized by DFT (PBE), using Cu Kα (weighted mean of Kα1 and Kα2).
Kinematic intensities with the Lorentz-polarization factor, no thermal factor.

Structural model:
Cell: 6.413 3.817 7.260 Å, 90.00 90.31 90.00°
Space group Pm (No. 6)
Asymmetric unit:
Hf 0.000 0.000 0.000 [1 per cell]
Hf 0.490 0.000 0.864 [1 per cell]
Zr 0.543 0.500 0.489 [1 per cell]
Ni 0.169 0.500 0.737 [1 per cell]
Ni 0.401 0.000 0.237 [1 per cell]
Ni 0.660 0.500 0.117 [1 per cell]
Ni 0.877 0.000 0.622 [1 per cell]
As 0.243 0.000 0.546 [1 per cell]
As 0.278 0.500 0.075 [1 per cell]
As 0.787 0.000 0.303 [1 per cell]
As 0.788 0.500 0.802 [1 per cell]

Main lines, in order of falling intensity (15 to 90 degrees two-theta):
2θ/deg	I_rel	h k l
38.7	100	2 1 1
44.3	44	0 1 3
37.0	40	1 1 2
47.6	37	0 2 0
36.6	31	2 1 0
36.9	25	1 1 -2
46.6	18	1 1 -3
23.3	16	0 1 0
49.4	16	3 0 -2
39.7	15	1 0 -3

=====

Record 7
The following is a theoretical XRD peak list of Pr4CI3Cl2. It was derived from a structure optimized by DFT (PBE), using Cu Kα (weighted mean of Kα1 and Kα2).
Kinematic intensities with the Lorentz-polarization factor, no thermal factor.

Structural model:
Cell: 18.231 4.084 8.938 Å, 90.00 102.64 90.00°
Space group C2/m (No. 12)
Asymmetric unit:
Pr 0.003 0.000 0.306 [4 per cell]
Pr 0.143 0.500 0.566 [4 per cell]
C 0.000 0.500 0.500 [2 per cell]
I 0.000 0.500 0.000 [2 per cell]
I 0.174 0.000 0.842 [4 per cell]
Cl 0.169 0.000 0.353 [4 per cell]

Main lines, in order of falling intensity (15 to 90 degrees two-theta):
2θ/deg	I_rel	h k l
29.6	100	1 1 -2
30.1	32	6 0 0
43.2	21	7 1 -2
27.2	19	3 1 -1
20.3	19	4 0 -1
42.4	18	5 1 2
54.6	16	6 2 0
34.5	15	2 0 3
44.4	13	0 2 0
32.9	11	4 0 -3

=====

Record 8
The following is a theoretical XRD peak list of NaZn2HSe2O7. It was derived from a structure optimized by DFT (PBE), using Cu Kα (weighted mean of Kα1 and Kα2).
Kinematic intensities with the Lorentz-polarization factor, no thermal factor.

Structural model:
Cell: 13.254 6.023 8.313 Å, 90.00 90.00 90.00°
Space group Pnma (No. 62)
Asymmetric unit:
Na 0.247 0.250 0.125 [4 per cell]
Zn 0.000 0.000 0.000 [4 per cell]
Zn 0.115 0.750 0.285 [4 per cell]
H 0.163 0.750 0.965 [4 per cell]
Se 0.026 0.250 0.386 [4 per cell]
Se 0.168 0.250 0.771 [4 per cell]
O 0.016 0.026 0.255 [8 per cell]
O 0.092 0.750 0.531 [4 per cell]
O 0.103 0.750 0.034 [4 per cell]
O 0.108 0.250 0.960 [4 per cell]
O 0.247 0.537 0.302 [8 per cell]

Main lines, in order of falling intensity (15 to 90 degrees two-theta):
2θ/deg	I_rel	h k l
32.7	100	4 1 1
37.8	58	3 2 1
35.7	56	0 1 3
18.2	55	0 1 1
32.3	55	1 2 1
22.6	53	2 1 1
25.3	49	2 0 2
33.1	48	1 0 3
26.9	48	1 1 2
61.0	44	4 2 4